No. 1
Calculated powder X-ray diffraction pattern
Compound: Tb2Zn2Co15
Radiation: Cu Kα, 1.54184 Å
Structure: a cell relaxed with PBE

Peak list (8 most intense, 5° ≤ 2θ ≤ 70°, sorted by position)
2θ (°)	d (Å)	I (rel.)
30.75	2.908	34
37.15	2.420	48
38.73	2.325	45
43.17	2.096	74
43.61	2.076	100
44.56	2.033	28
44.94	2.017	47
48.97	1.860	25

a b c (Å): 6.302 6.302 6.302
angles (deg): 83.37 83.37 83.37
Sites, in units of the cell vectors:
1 Tb 0.152 0.152 0.152
2 Tb 0.848 0.848 0.848
3 Zn 0.397 0.397 0.397
4 Zn 0.603 0.603 0.603
5 Co 0.000 0.500 0.500
6 Co 0.149 0.149 0.653
7 Co 0.149 0.653 0.149
8 Co 0.211 0.500 0.789
9 Co 0.211 0.789 0.500
10 Co 0.347 0.851 0.851
11 Co 0.500 0.000 0.500
12 Co 0.500 0.211 0.789
13 Co 0.500 0.500 0.000
14 Co 0.500 0.789 0.211
15 Co 0.653 0.149 0.149
16 Co 0.789 0.211 0.500
17 Co 0.789 0.500 0.211
18 Co 0.851 0.347 0.851
19 Co 0.851 0.851 0.347

No. 2
Calculated powder X-ray diffraction pattern
Compound: Co3Tc
Radiation: Cu Kα, 1.54184 Å
Structure: a cell relaxed with PBE

Peak list (8 most intense, 5° ≤ 2θ ≤ 70°, sorted by position)
2θ (°)	d (Å)	I (rel.)
28.10	3.176	5
40.87	2.208	12
41.13	2.195	26
44.40	2.040	40
46.78	1.942	52
47.01	1.933	100
61.92	1.499	7
62.11	1.494	14

a b c (Å): 4.081 5.058 4.416
angles (deg): 90.00 90.00 90.00
Sites, in units of the cell vectors:
1 Co 0.250 0.001 0.164
2 Co 0.250 0.499 0.164
3 Co 0.250 0.750 0.673
4 Co 0.750 0.250 0.327
5 Co 0.750 0.501 0.836
6 Co 0.750 0.999 0.836
7 Tc 0.250 0.250 0.663
8 Tc 0.750 0.750 0.337

No. 3
Calculated powder X-ray diffraction pattern
Compound: Co5Tc3
Radiation: Cu Kα, 1.54184 Å
Structure: a cell relaxed with PBE

Peak list (8 most intense, 5° ≤ 2θ ≤ 70°, sorted by position)
2θ (°)	d (Å)	I (rel.)
24.38	3.651	4
30.18	2.961	2
35.05	2.560	3
43.16	2.096	100
49.97	1.825	16
50.41	1.810	31
56.77	1.622	2
62.49	1.486	1

a b c (Å): 7.236 7.301 3.623
angles (deg): 90.00 90.00 90.00
Sites, in units of the cell vectors:
1 Co 0.000 0.000 0.000
2 Co 0.000 0.247 0.500
3 Co 0.000 0.753 0.500
4 Co 0.250 0.250 0.000
5 Co 0.250 0.750 0.000
6 Co 0.500 0.253 0.500
7 Co 0.500 0.500 0.000
8 Co 0.500 0.747 0.500
9 Co 0.750 0.250 0.000
10 Co 0.750 0.750 0.000
11 Tc 0.000 0.500 0.000
12 Tc 0.242 0.000 0.500
13 Tc 0.258 0.500 0.500
14 Tc 0.500 0.000 0.000
15 Tc 0.742 0.500 0.500
16 Tc 0.758 0.000 0.500

No. 4
Calculated powder X-ray diffraction pattern
Compound: Co3Tc2
Radiation: Cu Kα, 1.54184 Å
Structure: a cell relaxed with PBE

Peak list (8 most intense, 5° ≤ 2θ ≤ 70°, sorted by position)
2θ (°)	d (Å)	I (rel.)
30.15	2.964	10
40.10	2.249	14
40.25	2.240	23
43.76	2.069	39
45.93	1.976	48
46.07	1.970	100
60.84	1.523	8
60.96	1.520	13

a b c (Å): 6.840 6.840 4.138
angles (deg): 90.00 90.00 38.39
Sites, in units of the cell vectors:
1 Co 0.041 0.363 0.250
2 Co 0.161 0.839 0.750
3 Co 0.363 0.041 0.750
4 Co 0.637 0.959 0.250
5 Co 0.839 0.161 0.250
6 Co 0.959 0.637 0.750
7 Tc 0.221 0.574 0.250
8 Tc 0.426 0.779 0.250
9 Tc 0.574 0.221 0.750
10 Tc 0.779 0.426 0.750